# 1
Structure and theoretical powder X-ray diffraction pattern of K2Sb9PbSe15 (a cell relaxed with PBE; Cu Kα).
No peak broadening, texture or thermal motion is included.

Top 10 peaks for 10 to 90 degrees two-theta, low angle first:
2θ (°)	d_spacing	I (rel.)
12.4	7.157	32
27.9	3.201	41
28.1	3.174	38
28.5	3.137	37
29.6	3.023	100
29.7	3.008	64
30.5	2.935	28
31.7	2.821	31
42.7	2.119	39
42.8	2.111	60

Cell and atoms:
```
54
Lattice="17.3774 0.0000 0.0000 0.0000 4.2230 0.0000 -3.6286 0.0000 21.9234" Properties=species:S:1:pos:R:3 pbc="T T T"
K -0.4003 1.0557 2.8283
K 4.2494 1.0557 4.3503
K 9.4994 3.1672 17.5731
K 14.1492 3.1672 19.0951
Sb -0.4996 3.1672 7.5472
Sb 0.0179 1.0557 11.6425
Sb 2.8395 3.1672 0.7925
Sb 3.0068 1.0557 8.5741
Sb 2.0477 1.0557 19.5049
Sb 3.5718 3.1672 12.1608
Sb 7.1954 3.1672 1.3739
Sb 4.8294 3.1672 17.3965
Sb 6.5777 3.1672 8.9850
Sb 7.1712 1.0557 12.9384
Sb 8.9194 1.0557 4.5269
Sb 6.5535 1.0557 20.5495
Sb 10.1770 1.0557 9.7626
Sb 11.7011 3.1672 2.4185
Sb 10.7420 3.1672 13.3493
Sb 10.9094 1.0557 21.1309
Sb 13.7310 3.1672 10.2809
Sb 14.2484 1.0557 14.3762
Pb 0.3508 3.1672 16.0138
Pb 13.3981 1.0557 5.9096
Se -1.3908 3.1672 12.8671
Se -1.6404 1.0557 16.5608
Se -2.2881 1.0557 21.8258
Se 1.0214 1.0557 6.5478
Se 2.0953 3.1672 3.2114
Se 1.5682 3.1672 10.0973
Se 0.2979 3.1672 18.9691
Se 2.0224 1.0557 13.4448
Se 5.4548 1.0557 0.9800
Se 4.4227 3.1672 7.2382
Se 2.8565 1.0557 16.9366
Se 5.0647 1.0557 10.7079
Se 4.2448 3.1672 19.9967
Se 6.9497 3.1672 4.0251
Se 5.8041 3.1672 14.1695
Se 7.9447 1.0557 7.7539
Se 6.7992 1.0557 17.8984
Se 9.5041 1.0557 1.9267
Se 8.6841 3.1672 11.2155
Se 10.8924 3.1672 4.9868
Se 9.3262 1.0557 14.6852
Se 8.2940 3.1672 20.9434
Se 11.7265 3.1672 8.4786
Se 13.4509 1.0557 2.9543
Se 12.1806 1.0557 11.8261
Se 11.6536 1.0557 18.7120
Se 12.7274 3.1672 15.3756
Se 16.0369 3.1672 0.0976
Se 15.3893 3.1672 5.3627
Se 15.1396 1.0557 9.0563
```

# 2
Structure and theoretical powder X-ray diffraction pattern of BeP4 (a cell relaxed with PBE; Cu Kα).
No peak broadening, texture or thermal motion is included.

Top 10 peaks for 10 to 90 degrees two-theta, low angle first:
2θ (°)	d_spacing	I (rel.)
25.9	3.447	100
37.6	2.394	99
43.7	2.072	22
46.2	1.966	71
54.2	1.693	31
59.0	1.567	17
61.0	1.520	30
66.9	1.399	16
80.2	1.197	10
86.0	1.131	12

Cell and atoms:
```
5
Lattice="-2.3942 2.3942 3.4465 2.3942 -2.3942 3.4465 2.3942 2.3942 -3.4465" Properties=species:S:1:pos:R:3 pbc="T T T"
Be 0.0000 0.0000 0.0000
P 2.3942 0.0000 1.7233
P 0.0000 0.0000 2.0530
P 0.0000 0.0000 4.8400
P 0.0000 2.3942 1.7233
```

# 3
Structure and theoretical powder X-ray diffraction pattern of Na3Cu2Cl7 (a cell relaxed with PBE; Cu Kα).
No peak broadening, texture or thermal motion is included.

Top 10 peaks for 10 to 90 degrees two-theta, low angle first:
2θ (°)	d_spacing	I (rel.)
14.5	6.104	100
18.5	4.801	65
18.7	4.745	63
26.4	3.375	35
32.0	2.794	51
36.7	2.448	74
36.8	2.441	53
37.9	2.372	84
41.6	2.173	41
53.8	1.703	71

Cell and atoms:
```
12
Lattice="2.4481 -12.2077 0.0000 2.4481 12.2077 0.0000 0.0000 0.0000 4.7445" Properties=species:S:1:pos:R:3 pbc="T T T"
Na 0.0000 0.0000 0.0000
Na 2.4481 8.1567 0.0000
Na 2.4481 -8.1567 0.0000
Cu 2.4481 2.4074 2.3723
Cu 2.4481 -2.4074 2.3723
Cl 2.4481 9.9270 2.3723
Cl 2.4481 4.7319 2.3723
Cl 2.4481 2.3145 0.0000
Cl 2.4481 0.0000 2.3723
Cl 2.4481 -2.3145 0.0000
Cl 2.4481 -4.7319 2.3723
Cl 2.4481 -9.9270 2.3723
```